(1)
Starting from a structure optimized by DFT (PBE), the PXRD pattern of Tl2C2O5 was simulated for Cu Kα.
Lines closer than 0.1° are merged.

Crystal structure
```
data_Tl2C2O5
_symmetry_space_group_name_H-M 'P 1'
_symmetry_Int_Tables_number 1
_cell_length_a 4.476
_cell_length_b 5.488
_cell_length_c 7.030
_cell_angle_alpha 73.83
_cell_angle_beta 86.67
_cell_angle_gamma 87.61
loop_
_symmetry_equiv_pos_as_xyz
'x,y,z'
loop_
_atom_site_label
_atom_site_type_symbol
_atom_site_fract_x
_atom_site_fract_y
_atom_site_fract_z
_atom_site_occupancy
Tl1 Tl 0.240 0.311 0.278 1
Tl2 Tl 0.760 0.689 0.722 1
C1 C 0.212 0.126 0.854 1
C2 C 0.788 0.874 0.146 1
O1 O 0.000 0.000 0.000 1
O2 O 0.268 0.030 0.712 1
O3 O 0.315 0.322 0.882 1
O4 O 0.685 0.678 0.118 1
O5 O 0.732 0.970 0.288 1
```

Largest 6 diffraction maxima, low angle first, 2θ from 5° to 70°:
two_theta	Rel. int.
18.3	57
23.3	37
24.1	46
24.4	37
25.8	51
26.5	100

***

(2)
Starting from a structure optimized by DFT (PBE), the PXRD pattern of RbIn4Se7 was simulated for Cu Kα.
Lines closer than 0.1° are merged.

Crystal structure
```
data_RbIn4Se7
_symmetry_space_group_name_H-M 'P 1'
_symmetry_Int_Tables_number 1
_cell_length_a 16.563
_cell_length_b 6.944
_cell_length_c 6.708
_cell_angle_alpha 90.00
_cell_angle_beta 90.00
_cell_angle_gamma 90.00
loop_
_symmetry_equiv_pos_as_xyz
'x,y,z'
loop_
_atom_site_label
_atom_site_type_symbol
_atom_site_fract_x
_atom_site_fract_y
_atom_site_fract_z
_atom_site_occupancy
Rb1 Rb 0.000 0.185 0.000 1
Rb2 Rb 0.500 0.815 0.500 1
In1 In 0.120 0.668 0.616 1
In2 In 0.250 0.183 0.599 1
In3 In 0.250 0.817 0.099 1
In4 In 0.380 0.332 0.116 1
In5 In 0.620 0.332 0.116 1
In6 In 0.750 0.183 0.599 1
In7 In 0.750 0.817 0.099 1
In8 In 0.880 0.668 0.616 1
Se1 Se 0.000 0.865 0.459 1
Se2 Se 0.109 0.687 0.005 1
Se3 Se 0.110 0.311 0.493 1
Se4 Se 0.239 0.189 0.000 1
Se5 Se 0.261 0.811 0.500 1
Se6 Se 0.390 0.689 0.993 1
Se7 Se 0.391 0.313 0.505 1
Se8 Se 0.500 0.135 0.959 1
Se9 Se 0.609 0.313 0.505 1
Se10 Se 0.610 0.689 0.993 1
Se11 Se 0.739 0.811 0.500 1
Se12 Se 0.761 0.189 0.000 1
Se13 Se 0.890 0.311 0.493 1
Se14 Se 0.891 0.687 0.005 1
```

Largest 6 diffraction maxima, low angle first, 2θ from 5° to 70°:
two_theta	Rel. int.
25.0	71
25.7	73
26.6	100
28.4	61
44.9	69
48.1	75

***

(3)
Starting from a structure optimized by DFT (PBE), the PXRD pattern of Pu2ScO11 was simulated for Cu Kα.
Lines closer than 0.1° are merged.

Crystal structure
```
data_Pu2ScO11
_symmetry_space_group_name_H-M 'P 1'
_symmetry_Int_Tables_number 1
_cell_length_a 7.924
_cell_length_b 7.924
_cell_length_c 10.149
_cell_angle_alpha 120.80
_cell_angle_beta 120.80
_cell_angle_gamma 71.22
loop_
_symmetry_equiv_pos_as_xyz
'x,y,z'
loop_
_atom_site_label
_atom_site_type_symbol
_atom_site_fract_x
_atom_site_fract_y
_atom_site_fract_z
_atom_site_occupancy
Pu1 Pu 0.111 0.889 0.500 1
Pu2 Pu 0.332 0.677 0.988 1
Pu3 Pu 0.677 0.332 0.488 1
Pu4 Pu 0.889 0.111 0.000 1
Sc1 Sc 0.620 0.858 0.492 1
Sc2 Sc 0.858 0.620 0.992 1
O1 O 0.126 0.594 0.986 1
O2 O 0.173 0.954 0.025 1
O3 O 0.200 0.614 0.764 1
O4 O 0.226 0.985 0.728 1
O5 O 0.261 0.552 0.494 1
O6 O 0.313 0.437 0.375 1
O7 O 0.351 0.916 0.507 1
O8 O 0.437 0.313 0.875 1
O9 O 0.475 0.739 0.221 1
O10 O 0.552 0.261 0.994 1
O11 O 0.572 0.686 0.985 1
O12 O 0.594 0.126 0.486 1
O13 O 0.614 0.200 0.264 1
O14 O 0.686 0.572 0.485 1
O15 O 0.739 0.475 0.721 1
O16 O 0.776 0.998 0.762 1
O17 O 0.818 0.892 0.987 1
O18 O 0.892 0.818 0.487 1
O19 O 0.916 0.351 0.007 1
O20 O 0.954 0.173 0.525 1
O21 O 0.985 0.226 0.228 1
O22 O 0.998 0.776 0.262 1
```

Largest 6 diffraction maxima, low angle first, 2θ from 5° to 70°:
two_theta	Rel. int.
17.7	79
17.8	80
22.3	64
22.6	69
23.7	100
27.7	34